This entry pairs a crystal structure of Sc2PtBr with its calculated powder XRD pattern. Radiation: Cu Kα, 1.54184 Å. Structure: a DFT-relaxed cell (PBE, Alexandria).

Atomic structure:
```
data_Sc2PtBr
_chemical_formula_sum 'Sc6 Pt3 Br3'
_cell_length_a 3.831
_cell_length_b 3.831
_cell_length_c 21.531
_cell_angle_alpha 90.00
_cell_angle_beta 90.00
_cell_angle_gamma 120.00
_symmetry_space_group_name_H-M 'P 1'
_symmetry_Int_Tables_number 1
loop_
_symmetry_equiv_pos_as_xyz
'x,y,z'
loop_
_atom_site_label
_atom_site_type_symbol
_atom_site_fract_x
_atom_site_fract_y
_atom_site_fract_z
Sc1 Sc 0.000 0.000 0.234
Sc2 Sc 0.000 0.000 0.766
Sc3 Sc 0.333 0.667 0.433
Sc4 Sc 0.333 0.667 0.901
Sc5 Sc 0.667 0.333 0.099
Sc6 Sc 0.667 0.333 0.567
Pt1 Pt 0.000 0.000 0.500
Pt2 Pt 0.333 0.667 0.167
Pt3 Pt 0.667 0.333 0.833
Br1 Br 0.000 0.000 0.000
Br2 Br 0.333 0.667 0.667
Br3 Br 0.667 0.333 0.333
```

Largest 10 diffraction maxima, by angle, 2θ from 15° to 90°:
d = 3.589 Å, I 190; d = 3.170 Å, I 361; d = 2.824 Å, I 1000; d = 2.256 Å, I 117; d = 2.090 Å, I 372; d = 1.915 Å, I 330; d = 1.690 Å, I 144; d = 1.585 Å, I 171; d = 1.309 Å, I 135; d = 1.221 Å, I 143

***

This entry pairs a crystal structure of TcPt4Br with its calculated powder XRD pattern. Radiation: Cu Kα, 1.54184 Å. Structure: a DFT-relaxed cell (PBE, Alexandria).

Atomic structure:
```
data_TcPt4Br
_chemical_formula_sum 'Tc1 Pt4 Br1'
_cell_length_a 5.349
_cell_length_b 5.349
_cell_length_c 5.349
_cell_angle_alpha 60.00
_cell_angle_beta 60.00
_cell_angle_gamma 60.00
_symmetry_space_group_name_H-M 'P 1'
_symmetry_Int_Tables_number 1
loop_
_symmetry_equiv_pos_as_xyz
'x,y,z'
loop_
_atom_site_label
_atom_site_type_symbol
_atom_site_fract_x
_atom_site_fract_y
_atom_site_fract_z
Tc1 Tc 0.000 0.000 0.000
Pt1 Pt 0.375 0.375 0.375
Pt2 Pt 0.375 0.375 0.876
Pt3 Pt 0.375 0.876 0.375
Pt4 Pt 0.876 0.375 0.375
Br1 Br 0.750 0.750 0.750
```

Largest 10 diffraction maxima, by angle, 2θ from 15° to 90°:
d = 4.368 Å, I 430; d = 2.675 Å, I 100; d = 2.281 Å, I 1000; d = 2.184 Å, I 660; d = 1.891 Å, I 189; d = 1.736 Å, I 111; d = 1.456 Å, I 326; d = 1.337 Å, I 317; d = 1.154 Å, I 117; d = 1.140 Å, I 260

***

This entry pairs a crystal structure of TePt2Br with its calculated powder XRD pattern. Radiation: Cu Kα, 1.54184 Å. Structure: a DFT-relaxed cell (PBE, Alexandria).

Atomic structure:
```
data_TePt2Br
_chemical_formula_sum 'Te2 Pt4 Br2'
_cell_length_a 6.544
_cell_length_b 3.782
_cell_length_c 7.248
_cell_angle_alpha 90.00
_cell_angle_beta 107.36
_cell_angle_gamma 90.00
_symmetry_space_group_name_H-M 'P 1'
_symmetry_Int_Tables_number 1
loop_
_symmetry_equiv_pos_as_xyz
'x,y,z'
loop_
_atom_site_label
_atom_site_type_symbol
_atom_site_fract_x
_atom_site_fract_y
_atom_site_fract_z
Te1 Te 0.000 0.000 0.000
Te2 Te 0.500 0.500 0.000
Pt1 Pt 0.242 0.500 0.229
Pt2 Pt 0.258 0.000 0.771
Pt3 Pt 0.742 0.000 0.229
Pt4 Pt 0.758 0.500 0.771
Br1 Br 0.000 0.500 0.500
Br2 Br 0.500 0.000 0.500
```

Largest 10 diffraction maxima, by angle, 2θ from 15° to 90°:
d = 3.122 Å, I 121; d = 2.769 Å, I 1000; d = 2.033 Å, I 390; d = 1.890 Å, I 337; d = 1.729 Å, I 71; d = 1.561 Å, I 179; d = 1.385 Å, I 84; d = 1.277 Å, I 104; d = 1.204 Å, I 121; d = 1.117 Å, I 97

***

This entry pairs a crystal structure of Tl3PtBr8 with its calculated powder XRD pattern. Radiation: Cu Kα, 1.54184 Å. Structure: a DFT-relaxed cell (PBE, Alexandria).

Atomic structure:
```
data_Tl3PtBr8
_chemical_formula_sum 'Tl6 Pt2 Br16'
_cell_length_a 9.480
_cell_length_b 9.480
_cell_length_c 10.298
_cell_angle_alpha 90.00
_cell_angle_beta 90.00
_cell_angle_gamma 120.00
_symmetry_space_group_name_H-M 'P 1'
_symmetry_Int_Tables_number 1
loop_
_symmetry_equiv_pos_as_xyz
'x,y,z'
loop_
_atom_site_label
_atom_site_type_symbol
_atom_site_fract_x
_atom_site_fract_y
_atom_site_fract_z
Tl1 Tl 0.152 0.304 0.000
Tl2 Tl 0.152 0.848 0.000
Tl3 Tl 0.304 0.152 0.500
Tl4 Tl 0.696 0.848 0.000
Tl5 Tl 0.848 0.152 0.500
Tl6 Tl 0.848 0.696 0.500
Pt1 Pt 0.333 0.667 0.517
Pt2 Pt 0.667 0.333 0.017
Br1 Br 0.000 0.000 0.283
Br2 Br 0.000 0.000 0.783
Br3 Br 0.084 0.542 0.378
Br4 Br 0.207 0.413 0.654
Br5 Br 0.207 0.793 0.654
Br6 Br 0.333 0.667 0.055
Br7 Br 0.413 0.207 0.154
Br8 Br 0.458 0.542 0.378
Br9 Br 0.458 0.916 0.378
Br10 Br 0.542 0.084 0.878
Br11 Br 0.542 0.458 0.878
Br12 Br 0.587 0.793 0.654
Br13 Br 0.667 0.333 0.555
Br14 Br 0.793 0.207 0.154
Br15 Br 0.793 0.587 0.154
Br16 Br 0.916 0.458 0.878
```

Largest 10 diffraction maxima, by angle, 2θ from 15° to 90°:
d = 5.149 Å, I 561; d = 3.813 Å, I 1000; d = 3.210 Å, I 748; d = 2.971 Å, I 234; d = 2.658 Å, I 251; d = 2.633 Å, I 800; d = 2.370 Å, I 570; d = 2.153 Å, I 360; d = 1.841 Å, I 202; d = 1.762 Å, I 198

***

This entry pairs a crystal structure of Tl3PtBr7 with its calculated powder XRD pattern. Radiation: Cu Kα, 1.54184 Å. Structure: a DFT-relaxed cell (PBE, Alexandria).

Atomic structure:
```
data_Tl3PtBr7
_chemical_formula_sum 'Tl3 Pt1 Br7'
_cell_length_a 7.267
_cell_length_b 7.267
_cell_length_c 8.031
_cell_angle_alpha 103.52
_cell_angle_beta 103.52
_cell_angle_gamma 90.85
_symmetry_space_group_name_H-M 'P 1'
_symmetry_Int_Tables_number 1
loop_
_symmetry_equiv_pos_as_xyz
'x,y,z'
loop_
_atom_site_label
_atom_site_type_symbol
_atom_site_fract_x
_atom_site_fract_y
_atom_site_fract_z
Tl1 Tl 0.000 0.000 0.000
Tl2 Tl 0.230 0.708 0.496
Tl3 Tl 0.708 0.230 0.496
Pt1 Pt 0.495 0.495 0.020
Br1 Br 0.083 0.083 0.399
Br2 Br 0.167 0.519 0.839
Br3 Br 0.346 0.346 0.212
Br4 Br 0.470 0.817 0.211
Br5 Br 0.519 0.167 0.839
Br6 Br 0.639 0.639 0.818
Br7 Br 0.817 0.470 0.211
```

Largest 10 diffraction maxima, by angle, 2θ from 15° to 90°:
d = 4.809 Å, I 587; d = 4.273 Å, I 1000; d = 3.618 Å, I 618; d = 3.542 Å, I 323; d = 2.932 Å, I 840; d = 2.870 Å, I 259; d = 2.587 Å, I 474; d = 2.340 Å, I 453; d = 2.287 Å, I 446; d = 2.269 Å, I 283

***

This entry pairs a crystal structure of Tl2PtBr7 with its calculated powder XRD pattern. Radiation: Cu Kα, 1.54184 Å. Structure: a DFT-relaxed cell (PBE, Alexandria).

Atomic structure:
```
data_Tl2PtBr7
_chemical_formula_sum 'Tl4 Pt2 Br14'
_cell_length_a 9.119
_cell_length_b 9.119
_cell_length_c 12.047
_cell_angle_alpha 111.73
_cell_angle_beta 111.73
_cell_angle_gamma 57.37
_symmetry_space_group_name_H-M 'P 1'
_symmetry_Int_Tables_number 1
loop_
_symmetry_equiv_pos_as_xyz
'x,y,z'
loop_
_atom_site_label
_atom_site_type_symbol
_atom_site_fract_x
_atom_site_fract_y
_atom_site_fract_z
Tl1 Tl 0.215 0.241 0.082
Tl2 Tl 0.241 0.215 0.582
Tl3 Tl 0.759 0.785 0.418
Tl4 Tl 0.785 0.759 0.918
Pt1 Pt 0.296 0.704 0.750
Pt2 Pt 0.704 0.296 0.250
Br1 Br 0.014 0.986 0.750
Br2 Br 0.069 0.645 0.182
Br3 Br 0.182 0.561 0.813
Br4 Br 0.207 0.572 0.532
Br5 Br 0.355 0.931 0.318
Br6 Br 0.428 0.793 0.968
Br7 Br 0.439 0.818 0.687
Br8 Br 0.561 0.182 0.313
Br9 Br 0.572 0.207 0.032
Br10 Br 0.645 0.069 0.682
Br11 Br 0.793 0.428 0.468
Br12 Br 0.818 0.439 0.187
Br13 Br 0.931 0.355 0.818
Br14 Br 0.986 0.014 0.250
```

Largest 10 diffraction maxima, by angle, 2θ from 15° to 90°:
d = 5.647 Å, I 1000; d = 4.958 Å, I 365; d = 4.554 Å, I 347; d = 4.174 Å, I 627; d = 4.016 Å, I 364; d = 3.747 Å, I 523; d = 2.986 Å, I 322; d = 2.801 Å, I 392; d = 2.792 Å, I 478; d = 2.486 Å, I 355

***

This entry pairs a crystal structure of TlPtBr5 with its calculated powder XRD pattern. Radiation: Cu Kα, 1.54184 Å. Structure: a DFT-relaxed cell (PBE, Alexandria).

Atomic structure:
```
data_TlPtBr5
_chemical_formula_sum 'Tl2 Pt2 Br10'
_cell_length_a 7.348
_cell_length_b 7.348
_cell_length_c 10.675
_cell_angle_alpha 110.41
_cell_angle_beta 110.41
_cell_angle_gamma 59.14
_symmetry_space_group_name_H-M 'P 1'
_symmetry_Int_Tables_number 1
loop_
_symmetry_equiv_pos_as_xyz
'x,y,z'
loop_
_atom_site_label
_atom_site_type_symbol
_atom_site_fract_x
_atom_site_fract_y
_atom_site_fract_z
Tl1 Tl 0.008 0.992 0.750
Tl2 Tl 0.992 0.008 0.250
Pt1 Pt 0.500 0.500 0.000
Pt2 Pt 0.500 0.500 0.500
Br1 Br 0.098 0.667 0.449
Br2 Br 0.136 0.514 0.904
Br3 Br 0.333 0.902 0.051
Br4 Br 0.476 0.524 0.250
Br5 Br 0.486 0.864 0.596
Br6 Br 0.514 0.136 0.404
Br7 Br 0.524 0.476 0.750
Br8 Br 0.667 0.098 0.949
Br9 Br 0.864 0.486 0.096
Br10 Br 0.902 0.333 0.551
```

Largest 10 diffraction maxima, by angle, 2θ from 15° to 90°:
d = 5.855 Å, I 1000; d = 4.298 Å, I 715; d = 3.489 Å, I 261; d = 3.441 Å, I 292; d = 3.083 Å, I 782; d = 2.668 Å, I 610; d = 2.278 Å, I 523; d = 2.027 Å, I 233; d = 2.008 Å, I 239; d = 1.720 Å, I 360

***

This entry pairs a crystal structure of TlPt2Br with its calculated powder XRD pattern. Radiation: Cu Kα, 1.54184 Å. Structure: a DFT-relaxed cell (PBE, Alexandria).

Atomic structure:
```
data_TlPt2Br
_chemical_formula_sum 'Tl2 Pt4 Br2'
_cell_length_a 3.177
_cell_length_b 5.935
_cell_length_c 8.827
_cell_angle_alpha 90.00
_cell_angle_beta 90.00
_cell_angle_gamma 90.00
_symmetry_space_group_name_H-M 'P 1'
_symmetry_Int_Tables_number 1
loop_
_symmetry_equiv_pos_as_xyz
'x,y,z'
loop_
_atom_site_label
_atom_site_type_symbol
_atom_site_fract_x
_atom_site_fract_y
_atom_site_fract_z
Tl1 Tl 0.000 0.000 0.000
Tl2 Tl 0.500 0.500 0.000
Pt1 Pt 0.000 0.500 0.250
Pt2 Pt 0.000 0.500 0.750
Pt3 Pt 0.500 0.000 0.250
Pt4 Pt 0.500 0.000 0.750
Br1 Br 0.000 0.000 0.500
Br2 Br 0.500 0.500 0.500
```

Largest 10 diffraction maxima, by angle, 2θ from 15° to 90°:
d = 2.967 Å, I 465; d = 2.365 Å, I 1000; d = 2.207 Å, I 205; d = 1.771 Å, I 210; d = 1.570 Å, I 285; d = 1.401 Å, I 98; d = 1.302 Å, I 154; d = 1.289 Å, I 74; d = 1.182 Å, I 115; d = 1.107 Å, I 97